The following is a computed powder diffractogram of TlHg. It was derived from a crystal structure in Alexandria, relaxed with GGA-PBE, using copper Kα.
Intensities are scaled so that the largest is 100.

Peak list (8 most intense, 2θ = 10–80°, by intensity)
two_theta, I/Imax, hkl
33.1, 100.0, 0 1 2
31.2, 82.1, 1 1 0
35.1, 47.3, 0 2 0
33.5, 32.6, 1 0 -2
31.7, 28.7, 1 1 -1
63.7, 27.1, 2 1 -3
49.3, 22.5, 1 2 -2
36.7, 17.3, 1 1 1

Atomic structure:
Unit cell a=3.5626 b=5.1172 c=6.5525 alpha=90.00 beta=103.23 gamma=90.00
Space group P2_1/m (No. 11)
Unique sites:
Tl 0.1707 0.2500 0.3436
Hg 0.3725 0.2500 0.8596

The following is a computed powder diffractogram of TlHg. It was derived from a crystal structure in Alexandria, relaxed with GGA-PBE, using copper Kα.
Intensities are scaled so that the largest is 100.

Peak list (8 most intense, 2θ = 10–80°, by intensity)
two_theta, I/Imax, hkl
31.6, 100.0, 0 1 2
36.8, 67.0, 1 0 4
32.2, 31.9, 0 0 6
63.1, 28.6, 1 1 6
52.7, 24.4, 1 1 0
53.4, 23.4, 0 1 8
62.8, 14.5, 2 0 2
63.8, 13.9, 1 0 10

Atomic structure:
Unit cell a=3.4726 b=3.4726 c=16.6935 alpha=90.00 beta=90.00 gamma=120.00
Space group R-3m (No. 166, hexagonal axes)
Unique sites:
Tl 0.0000 0.0000 0.0000
Hg 0.0000 0.0000 0.5000

The following is a computed powder diffractogram of Tl5Hg4. It was derived from a crystal structure in Alexandria, relaxed with GGA-PBE, using copper Kα.
Intensities are scaled so that the largest is 100.

Peak list (8 most intense, 2θ = 10–80°, by intensity)
two_theta, I/Imax, hkl
31.9, 100.0, 3 0 1
39.4, 27.0, 3 3 0
31.6, 26.9, 0 0 2
51.4, 25.5, 3 3 2
56.5, 20.3, 3 0 3
66.8, 20.0, 6 3 1
66.6, 10.6, 6 0 2
57.0, 8.4, 6 0 0

Atomic structure:
Unit cell a=9.6984 b=9.6984 c=5.6557 alpha=90.00 beta=90.00 gamma=90.00
Space group I4/m (No. 87)
Unique sites:
Tl 0.0000 0.0000 0.0000
Tl 0.1574 0.1852 0.5000
Hg 0.0140 0.3387 0.0000

The following is a computed powder diffractogram of Tl4Hg3. It was derived from a crystal structure in Alexandria, relaxed with GGA-PBE, using copper Kα.
Intensities are scaled so that the largest is 100.

Peak list (8 most intense, 2θ = 10–80°, by intensity)
two_theta, I/Imax, hkl
30.9, 100.0, 1 1 2
29.5, 56.2, 2 0 -3
39.1, 51.8, 1 1 -5
32.7, 42.1, 2 0 4
47.1, 34.4, 3 1 -1
36.2, 31.2, 0 0 7
64.3, 24.4, 2 2 4
57.2, 16.8, 3 1 6

Atomic structure:
Unit cell a=7.0893 b=3.4075 c=17.3684 alpha=90.00 beta=90.16 gamma=90.00
Space group C2/m (No. 12)
Unique sites:
Tl 0.0686 0.0000 0.2054
Tl 0.2192 0.0000 0.6388
Hg 0.0000 0.5000 0.5000
Hg 0.1469 0.5000 0.9353

What did the fourth record say?
The following is a computed powder diffractogram of Tl4Hg3. It was derived from a crystal structure in Alexandria, relaxed with GGA-PBE, using copper Kα.
Intensities are scaled so that the largest is 100.

Peak list (8 most intense, 2θ = 10–80°, by intensity)
two_theta, I/Imax, hkl
30.9, 100.0, 1 1 2
29.5, 56.2, 2 0 -3
39.1, 51.8, 1 1 -5
32.7, 42.1, 2 0 4
47.1, 34.4, 3 1 -1
36.2, 31.2, 0 0 7
64.3, 24.4, 2 2 4
57.2, 16.8, 3 1 6

Atomic structure:
Unit cell a=7.0893 b=3.4075 c=17.3684 alpha=90.00 beta=90.16 gamma=90.00
Space group C2/m (No. 12)
Unique sites:
Tl 0.0686 0.0000 0.2054
Tl 0.2192 0.0000 0.6388
Hg 0.0000 0.5000 0.5000
Hg 0.1469 0.5000 0.9353